Structure and simulated XRD peak list of Ca5Rh2N6 (a cell relaxed with PBE; a wavelength of 1.5418 Å).
Intensities are scaled so that the largest is 100.

The 10 most intense peaks (10 to 90 degrees two-theta), low angle first:
2θ 14.5, intensity 96
2θ 16.9, intensity 67
2θ 18.0, intensity 71
2θ 20.4, intensity 97
2θ 31.7, intensity 66
2θ 32.8, intensity 98
2θ 32.9, intensity 63
2θ 33.7, intensity 92
2θ 35.2, intensity 100
2θ 47.2, intensity 63

Cell and atoms:
a = 6.0320 Å, b = 6.0320 Å, c = 12.5630 Å
α = 101.25°, β = 101.25°, γ = 65.59°
Fractional positions:
1 Ca 0.1408 0.8592 0.7500
2 Ca 0.1867 0.7034 0.9995
3 Ca 0.2147 0.4644 0.2737
4 Ca 0.2966 0.8133 0.5005
5 Ca 0.4644 0.2147 0.7737
6 Ca 0.5356 0.7853 0.2263
7 Ca 0.7034 0.1867 0.4995
8 Ca 0.7853 0.5356 0.7263
9 Ca 0.8133 0.2966 0.0005
10 Ca 0.8592 0.1408 0.2500
11 Rh 0.1922 0.3462 0.5563
12 Rh 0.3462 0.1922 0.0563
13 Rh 0.6538 0.8078 0.9437
14 Rh 0.8078 0.6538 0.4437
15 N 0.1084 0.1655 0.6447
16 N 0.1655 0.1084 0.1447
17 N 0.1707 0.2431 0.4093
18 N 0.2431 0.1707 0.9093
19 N 0.4256 0.4882 0.6285
20 N 0.4882 0.4256 0.1285
21 N 0.5118 0.5744 0.8715
22 N 0.5744 0.5118 0.3715
23 N 0.7569 0.8293 0.0907
24 N 0.8293 0.7569 0.5907
25 N 0.8345 0.8916 0.8553
26 N 0.8916 0.8345 0.3553

=====

Structure and simulated XRD peak list of Ca11Ru2N10 (a cell relaxed with PBE; a wavelength of 1.5418 Å).
Intensities are scaled so that the largest is 100.

The 10 most intense peaks (10 to 90 degrees two-theta), low angle first:
2θ 11.6, intensity 27
2θ 13.0, intensity 21
2θ 26.1, intensity 22
2θ 30.0, intensity 38
2θ 30.5, intensity 17
2θ 32.7, intensity 100
2θ 33.4, intensity 23
2θ 34.4, intensity 20
2θ 35.4, intensity 23
2θ 50.6, intensity 23

Cell and atoms:
a = 15.1921 Å, b = 15.1921 Å, c = 3.5984 Å
α = 90.00°, β = 90.00°, γ = 90.00°
Fractional positions:
1 Ca 0.0000 0.0000 0.0000
2 Ca 0.0152 0.2172 0.5000
3 Ca 0.1092 0.3903 0.0000
4 Ca 0.1097 0.6092 0.5000
5 Ca 0.1985 0.8015 0.0000
6 Ca 0.2172 0.0152 0.5000
7 Ca 0.2828 0.5152 0.0000
8 Ca 0.3015 0.3015 0.5000
9 Ca 0.3903 0.1092 0.0000
10 Ca 0.3908 0.8903 0.5000
11 Ca 0.4848 0.7172 0.0000
12 Ca 0.5000 0.5000 0.5000
13 Ca 0.5152 0.2828 0.0000
14 Ca 0.6092 0.1097 0.5000
15 Ca 0.6097 0.8908 0.0000
16 Ca 0.6985 0.6985 0.5000
17 Ca 0.7172 0.4848 0.0000
18 Ca 0.7828 0.9848 0.5000
19 Ca 0.8015 0.1985 0.0000
20 Ca 0.8903 0.3908 0.5000
21 Ca 0.8908 0.6097 0.0000
22 Ca 0.9848 0.7828 0.5000
23 Ru 0.1905 0.1905 0.0000
24 Ru 0.3095 0.6905 0.5000
25 Ru 0.6905 0.3095 0.5000
26 Ru 0.8095 0.8095 0.0000
27 N 0.0357 0.6846 0.0000
28 N 0.0737 0.9263 0.5000
29 N 0.1094 0.1094 0.0000
30 N 0.1328 0.8672 0.5000
31 N 0.1846 0.4643 0.5000
32 N 0.3154 0.9643 0.0000
33 N 0.3672 0.3672 0.0000
34 N 0.3906 0.6094 0.5000
35 N 0.4263 0.4263 0.0000
36 N 0.4643 0.1846 0.5000
37 N 0.5357 0.8154 0.5000
38 N 0.5737 0.5737 0.0000
39 N 0.6094 0.3906 0.5000
40 N 0.6328 0.6328 0.0000
41 N 0.6846 0.0357 0.0000
42 N 0.8154 0.5357 0.5000
43 N 0.8672 0.1328 0.5000
44 N 0.8906 0.8906 0.0000
45 N 0.9263 0.0737 0.5000
46 N 0.9643 0.3154 0.0000

=====

Structure and simulated XRD peak list of Ca3Ru3N5 (a cell relaxed with PBE; a wavelength of 1.5418 Å).
Intensities are scaled so that the largest is 100.

The 10 most intense peaks (10 to 90 degrees two-theta), low angle first:
2θ 13.5, intensity 51
2θ 15.8, intensity 42
2θ 20.4, intensity 63
2θ 25.0, intensity 31
2θ 32.3, intensity 71
2θ 32.7, intensity 74
2θ 32.9, intensity 84
2θ 33.9, intensity 100
2θ 41.4, intensity 46
2θ 44.1, intensity 41

Cell and atoms:
a = 5.9621 Å, b = 6.9264 Å, c = 8.3143 Å
α = 105.56°, β = 106.55°, γ = 94.96°
Fractional positions:
1 Ca 0.1444 0.1618 0.1856
2 Ca 0.1657 0.3776 0.8842
3 Ca 0.3144 0.9200 0.6177
4 Ca 0.6856 0.0800 0.3823
5 Ca 0.8343 0.6224 0.1158
6 Ca 0.8556 0.8382 0.8144
7 Ru 0.1994 0.4387 0.5601
8 Ru 0.3724 0.6408 0.2807
9 Ru 0.4211 0.8170 0.9811
10 Ru 0.5789 0.1830 0.0189
11 Ru 0.6276 0.3592 0.7193
12 Ru 0.8006 0.5613 0.4399
13 N 0.1195 0.5948 0.3885
14 N 0.1899 0.7289 0.0791
15 N 0.2347 0.0370 0.8969
16 N 0.3565 0.2012 0.4970
17 N 0.4622 0.5925 0.8023
18 N 0.5378 0.4075 0.1977
19 N 0.6435 0.7988 0.5030
20 N 0.7653 0.9630 0.1031
21 N 0.8101 0.2711 0.9209
22 N 0.8805 0.4052 0.6115

=====

Structure and simulated XRD peak list of Ca3Ru2N4 (a cell relaxed with PBE; a wavelength of 1.5418 Å).
Intensities are scaled so that the largest is 100.

The 10 most intense peaks (10 to 90 degrees two-theta), low angle first:
2θ 16.1, intensity 69
2θ 21.0, intensity 29
2θ 21.2, intensity 22
2θ 31.2, intensity 66
2θ 31.4, intensity 100
2θ 35.9, intensity 36
2θ 42.0, intensity 35
2θ 42.5, intensity 35
2θ 43.4, intensity 51
2θ 47.1, intensity 20

Cell and atoms:
a = 6.9752 Å, b = 6.9752 Å, c = 5.3628 Å
α = 90.60°, β = 90.60°, γ = 76.16°
Fractional positions:
1 Ca 0.0993 0.9007 0.7500
2 Ca 0.2442 0.5248 0.4587
3 Ca 0.4752 0.7558 0.0413
4 Ca 0.5248 0.2442 0.9587
5 Ca 0.7558 0.4752 0.5413
6 Ca 0.9007 0.0993 0.2500
7 Ru 0.0936 0.3296 0.9124
8 Ru 0.3296 0.0936 0.4124
9 Ru 0.6704 0.9064 0.5876
10 Ru 0.9064 0.6704 0.0876
11 N 0.0769 0.2347 0.5691
12 N 0.2122 0.5632 0.9763
13 N 0.2347 0.0769 0.0691
14 N 0.4368 0.7878 0.5237
15 N 0.5632 0.2122 0.4763
16 N 0.7653 0.9231 0.9309
17 N 0.7878 0.4368 0.0237
18 N 0.9231 0.7653 0.4309

=====

Structure and simulated XRD peak list of Ca7RuN6 (a cell relaxed with PBE; a wavelength of 1.5418 Å).
Intensities are scaled so that the largest is 100.

The 10 most intense peaks (10 to 90 degrees two-theta), low angle first:
2θ 16.3, intensity 30
2θ 20.9, intensity 25
2θ 21.1, intensity 31
2θ 30.5, intensity 19
2θ 31.4, intensity 100
2θ 31.6, intensity 17
2θ 32.5, intensity 35
2θ 35.7, intensity 40
2θ 36.1, intensity 17
2θ 36.3, intensity 27

Cell and atoms:
a = 11.0227 Å, b = 6.2531 Å, c = 13.2966 Å
α = 90.00°, β = 90.00°, γ = 90.00°
Fractional positions:
1 Ca 0.0000 0.0642 0.2500
2 Ca 0.0000 0.9358 0.7500
3 Ca 0.0366 0.2282 0.5208
4 Ca 0.0366 0.7718 0.0208
5 Ca 0.2074 0.3980 0.1127
6 Ca 0.2074 0.6020 0.6127
7 Ca 0.2245 0.3653 0.8717
8 Ca 0.2245 0.6347 0.3717
9 Ca 0.2755 0.1347 0.3717
10 Ca 0.2755 0.8653 0.8717
11 Ca 0.2926 0.1020 0.6127
12 Ca 0.2926 0.8980 0.1127
13 Ca 0.4634 0.2718 0.0208
14 Ca 0.4634 0.7282 0.5208
15 Ca 0.5000 0.4358 0.7500
16 Ca 0.5000 0.5642 0.2500
17 Ca 0.5366 0.2718 0.4792
18 Ca 0.5366 0.7282 0.9792
19 Ca 0.7074 0.1020 0.8873
20 Ca 0.7074 0.8980 0.3873
21 Ca 0.7245 0.1347 0.1283
22 Ca 0.7245 0.8653 0.6283
23 Ca 0.7755 0.3653 0.6283
24 Ca 0.7755 0.6347 0.1283
25 Ca 0.7926 0.3980 0.3873
26 Ca 0.7926 0.6020 0.8873
27 Ca 0.9634 0.2282 0.9792
28 Ca 0.9634 0.7718 0.4792
29 Ru 0.0000 0.4256 0.7500
30 Ru 0.0000 0.5744 0.2500
31 Ru 0.5000 0.0744 0.2500
32 Ru 0.5000 0.9256 0.7500
33 N 0.0378 0.3971 0.3640
34 N 0.0378 0.6029 0.8640
35 N 0.1330 0.2429 0.7042
36 N 0.1330 0.7571 0.2042
37 N 0.1672 0.0946 0.9900
38 N 0.1672 0.9054 0.4900
39 N 0.3328 0.4054 0.4900
40 N 0.3328 0.5946 0.9900
41 N 0.3670 0.2571 0.2042
42 N 0.3670 0.7429 0.7042
43 N 0.4622 0.1029 0.8640
44 N 0.4622 0.8971 0.3640
45 N 0.5378 0.1029 0.6360
46 N 0.5378 0.8971 0.1360
47 N 0.6330 0.2571 0.2958
48 N 0.6330 0.7429 0.7958
49 N 0.6672 0.4054 0.0100
50 N 0.6672 0.5946 0.5100
51 N 0.8328 0.0946 0.5100
52 N 0.8328 0.9054 0.0100
53 N 0.8670 0.2429 0.7958
54 N 0.8670 0.7571 0.2958
55 N 0.9622 0.3971 0.1360
56 N 0.9622 0.6029 0.6360

=====

Structure and simulated XRD peak list of Ca2RuN2 (a cell relaxed with PBE; a wavelength of 1.5418 Å).
Intensities are scaled so that the largest is 100.

The 10 most intense peaks (10 to 90 degrees two-theta), low angle first:
2θ 14.3, intensity 45
2θ 25.3, intensity 25
2θ 25.9, intensity 23
2θ 32.7, intensity 64
2θ 33.2, intensity 62
2θ 35.0, intensity 100
2θ 44.0, intensity 20
2θ 57.4, intensity 34
2θ 61.1, intensity 21
2θ 62.0, intensity 20

Cell and atoms:
a = 3.5778 Å, b = 3.6700 Å, c = 12.3512 Å
α = 90.00°, β = 90.00°, γ = 90.00°
Fractional positions:
1 Ca 0.0000 0.0000 0.1483
2 Ca 0.0000 0.0000 0.8517
3 Ca 0.5000 0.5000 0.3517
4 Ca 0.5000 0.5000 0.6483
5 Ru 0.0000 0.0000 0.5000
6 Ru 0.5000 0.5000 0.0000
7 N 0.0000 0.0000 0.3500
8 N 0.0000 0.0000 0.6500
9 N 0.5000 0.5000 0.1500
10 N 0.5000 0.5000 0.8500

=====

Structure and simulated XRD peak list of CaRu2N2 (a cell relaxed with PBE; a wavelength of 1.5418 Å).
Intensities are scaled so that the largest is 100.

The 10 most intense peaks (10 to 90 degrees two-theta), low angle first:
2θ 12.5, intensity 44
2θ 25.1, intensity 15
2θ 34.5, intensity 54
2θ 34.7, intensity 100
2θ 38.0, intensity 45
2θ 41.0, intensity 90
2θ 41.7, intensity 40
2θ 57.2, intensity 17
2θ 57.5, intensity 32
2θ 62.3, intensity 20

Cell and atoms:
a = 5.5493 Å, b = 3.2199 Å, c = 7.1031 Å
α = 90.00°, β = 90.97°, γ = 90.00°
Fractional positions:
1 Ca 0.0000 0.0000 0.0000
2 Ca 0.5000 0.5000 0.0000
3 Ru 0.1771 0.5000 0.3379
4 Ru 0.3229 0.0000 0.6621
5 Ru 0.6771 0.0000 0.3379
6 Ru 0.8229 0.5000 0.6621
7 N 0.1600 0.5000 0.7669
8 N 0.3400 0.0000 0.2331
9 N 0.6600 0.0000 0.7669
10 N 0.8400 0.5000 0.2331

=====

Structure and simulated XRD peak list of Ca2RuN3 (a cell relaxed with PBE; a wavelength of 1.5418 Å).
Intensities are scaled so that the largest is 100.

The 10 most intense peaks (10 to 90 degrees two-theta), low angle first:
2θ 16.4, intensity 53
2θ 23.4, intensity 61
2θ 30.2, intensity 23
2θ 32.1, intensity 62
2θ 33.3, intensity 100
2θ 35.3, intensity 41
2θ 36.6, intensity 13
2θ 44.6, intensity 22
2θ 47.7, intensity 16
2θ 57.9, intensity 28

Cell and atoms:
a = 6.0750 Å, b = 6.0750 Å, c = 11.8479 Å
α = 90.00°, β = 90.00°, γ = 125.27°
Fractional positions:
1 Ca 0.0456 0.9544 0.8563
2 Ca 0.1370 0.8630 0.4236
3 Ca 0.3630 0.6370 0.9236
4 Ca 0.4544 0.5456 0.3563
5 Ca 0.5456 0.4544 0.6437
6 Ca 0.6370 0.3630 0.0764
7 Ca 0.8630 0.1370 0.5764
8 Ca 0.9544 0.0456 0.1437
9 Ru 0.2467 0.7533 0.6569
10 Ru 0.2533 0.7467 0.1569
11 Ru 0.7467 0.2533 0.8431
12 Ru 0.7533 0.2467 0.3431
13 N 0.0506 0.4494 0.7500
14 N 0.0712 0.9288 0.6374
15 N 0.1547 0.8453 0.0264
16 N 0.3453 0.6547 0.5264
17 N 0.4288 0.5712 0.1374
18 N 0.4494 0.0506 0.2500
19 N 0.5506 0.9494 0.7500
20 N 0.5712 0.4288 0.8626
21 N 0.6547 0.3453 0.4736
22 N 0.8453 0.1547 0.9736
23 N 0.9288 0.0712 0.3626
24 N 0.9494 0.5506 0.2500

=====

Which formula does entry 3 have?
Ca3Ru3N5